(1)
Nb3P6WO24: calculated X-ray diffraction stick pattern (CuKα), based on a crystal structure in the Materials Project, relaxed with GGA+U.
No peak broadening, texture or thermal motion is included.

Principal peaks in the range 10° ≤ 2θ ≤ 90°, in order of rising 2θ:
| two_theta | I_rel |
| --- | --- |
| 13.97 | 43.2 |
| 19.58 | 100.0 |
| 20.03 | 73.9 |
| 23.32 | 51.9 |
| 28.15 | 60.9 |
| 31.27 | 39.8 |
| 34.79 | 32.5 |
| 35.06 | 26.3 |
| 51.44 | 22.5 |
| 54.78 | 20.5 |

Structure:
```
Nb3P6WO24
1.0
4.4334 2.5596 7.4889
-4.4334 2.5596 7.4889
0.0000 -5.1193 7.4889
Nb P W O
3 6 1 24
direct
0.0000 0.0000 0.0000 Nb
0.2180 0.2180 0.2180 Nb
0.7182 0.7182 0.7182 Nb
0.1079 0.8262 0.3903 P
0.3244 0.6089 0.8925 P
0.3903 0.1079 0.8262 P
0.6089 0.8925 0.3244 P
0.8262 0.3903 0.1079 P
0.8925 0.3244 0.6089 P
0.5000 0.5000 0.5000 W
0.0681 0.8662 0.2244 O
0.0706 0.2951 0.4383 O
0.1342 0.9975 0.3601 O
0.1498 0.7777 0.9311 O
0.2244 0.0681 0.8662 O
0.2690 0.6518 0.4134 O
0.2951 0.4383 0.0706 O
0.3386 0.5872 0.7317 O
0.3601 0.1342 0.9975 O
0.4134 0.2690 0.6518 O
0.4383 0.0706 0.2951 O
0.4932 0.6387 0.8618 O
0.5643 0.9315 0.8032 O
0.5873 0.7317 0.3386 O
0.6387 0.8618 0.4932 O
0.6518 0.4134 0.2690 O
0.7317 0.3386 0.5873 O
0.7777 0.9311 0.1498 O
0.8032 0.5643 0.9315 O
0.8618 0.4932 0.6387 O
0.8662 0.2244 0.0681 O
0.9311 0.1498 0.7777 O
0.9315 0.8032 0.5643 O
0.9975 0.3601 0.1342 O
```

***

(2)
RbNbV2O8: calculated X-ray diffraction stick pattern (CuKα), based on a crystal structure in the Materials Project, relaxed with GGA+U.
No peak broadening, texture or thermal motion is included.

Principal peaks in the range 10° ≤ 2θ ≤ 90°, in order of rising 2θ:
| two_theta | I_rel |
| --- | --- |
| 19.24 | 12.6 |
| 19.47 | 10.8 |
| 21.75 | 13.7 |
| 23.36 | 20.6 |
| 25.31 | 15.3 |
| 25.55 | 16.6 |
| 27.52 | 100.0 |
| 31.42 | 33.2 |
| 45.71 | 10.6 |
| 53.60 | 14.4 |

Structure:
```
RbNbV2O8
1.0
15.2326 0.0000 0.0000
0.0000 5.6933 0.0000
0.0000 0.0000 9.2143
Rb Nb V O
4 4 8 32
direct
0.1158 0.2500 0.0519 Rb
0.3842 0.7500 0.5519 Rb
0.6158 0.2500 0.4481 Rb
0.8842 0.7500 0.9481 Rb
0.1599 0.2500 0.5045 Nb
0.3401 0.7500 0.0045 Nb
0.6599 0.2500 0.9955 Nb
0.8401 0.7500 0.4955 Nb
0.0616 0.7500 0.3193 V
0.1605 0.7500 0.7543 V
0.3395 0.2500 0.2543 V
0.4384 0.2500 0.8193 V
0.5616 0.7500 0.1807 V
0.6605 0.7500 0.7457 V
0.8395 0.2500 0.2457 V
0.9384 0.2500 0.6807 V
0.0365 0.2500 0.5807 O
0.0416 0.7500 0.1429 O
0.0542 0.7500 0.7849 O
0.1256 0.0031 0.3626 O
0.1256 0.4969 0.3626 O
0.1906 0.0022 0.6529 O
0.1906 0.4978 0.6529 O
0.2181 0.7500 0.9249 O
0.2819 0.2500 0.4249 O
0.3094 0.5022 0.1529 O
0.3094 0.9978 0.1529 O
0.3744 0.5031 0.8626 O
0.3744 0.9969 0.8626 O
0.4458 0.2500 0.2849 O
0.4584 0.2500 0.6429 O
0.4635 0.7500 0.0807 O
0.5365 0.2500 0.9193 O
0.5416 0.7500 0.3571 O
0.5542 0.7500 0.7151 O
0.6256 0.0031 0.1374 O
0.6256 0.4969 0.1374 O
0.6906 0.0022 0.8471 O
0.6906 0.4978 0.8471 O
0.7181 0.7500 0.5751 O
0.7819 0.2500 0.0751 O
0.8094 0.5022 0.3471 O
0.8094 0.9978 0.3471 O
0.8744 0.5031 0.6374 O
0.8744 0.9969 0.6374 O
0.9458 0.2500 0.2151 O
0.9584 0.2500 0.8571 O
0.9635 0.7500 0.4193 O
```

***

(3)
SrNbVSnO6: calculated X-ray diffraction stick pattern (CuKα), based on a crystal structure in the Materials Project, relaxed with GGA+U.
No peak broadening, texture or thermal motion is included.

Principal peaks in the range 10° ≤ 2θ ≤ 90°, in order of rising 2θ:
| two_theta | I_rel |
| --- | --- |
| 19.12 | 6.6 |
| 31.47 | 100.0 |
| 37.08 | 4.0 |
| 38.79 | 9.6 |
| 45.10 | 35.3 |
| 56.02 | 39.6 |
| 65.68 | 21.2 |
| 74.65 | 17.3 |
| 78.97 | 3.0 |
| 83.24 | 7.1 |

Structure:
```
SrNbVSnO6
1.0
0.0000 4.0208 4.0208
4.0208 0.0000 4.0208
4.0208 4.0208 0.0000
Sr Nb V Sn O
1 1 1 1 6
direct
0.0000 0.0000 0.0000 Sr
0.2500 0.2500 0.2500 Nb
0.7500 0.7500 0.7500 V
0.5000 0.5000 0.5000 Sn
0.9998 0.9998 0.5002 O
0.9998 0.5002 0.9998 O
0.9998 0.5002 0.5002 O
0.5002 0.9998 0.9998 O
0.5002 0.9998 0.5002 O
0.5002 0.5002 0.9998 O
```